Structure and simulated X-ray powder pattern of Ca2NiN2 (a DFT-relaxed cell (PBE, the Materials Project); Cu Kα (weighted mean of Kα1 and Kα2)).
Peak positions follow from Bragg's law for the DFT cell and can differ from measured ones.

Cell and atoms:
```
data_Ca2NiN2
_space_group_name_H-M_alt 'C 1 2/m 1'
_space_group_IT_number 12
_space_group_name_Hall '-C 2y'
_cell_length_a 10.7917
_cell_length_b 4.9702
_cell_length_c 6.7563
_cell_angle_alpha 90.00
_cell_angle_beta 122.19
_cell_angle_gamma 90.00
loop_
_atom_site_label
_atom_site_fract_x
_atom_site_fract_y
_atom_site_fract_z
Ca1 0.0397 0.0000 0.2666
Ca2 0.1783 0.5000 0.0963
Ni1 0.1265 0.5000 0.6240
N1 0.0276 0.5000 0.3033
N2 0.1850 0.0000 0.1097
```

Top 6 peaks for 2θ = 5–70°, sorted by position:
hkl	two_theta	I/Imax
1 1 -1	22.25	57.0
1 1 -2	32.78	94.7
3 1 0	34.55	84.7
4 0 -2	34.86	36.9
0 2 0	36.14	100.0
2 0 2	45.53	38.1

Structure and simulated X-ray powder pattern of DyMgSn (a DFT-relaxed cell (PBE, the Materials Project); Cu Kα (weighted mean of Kα1 and Kα2)).
Peak positions follow from Bragg's law for the DFT cell and can differ from measured ones.

Cell and atoms:
```
data_DyMgSn
_space_group_name_H-M_alt 'I 4/m m m'
_space_group_IT_number 139
_space_group_name_Hall '-I 4 2'
_cell_length_a 4.4007
_cell_length_b 4.4007
_cell_length_c 15.9177
_cell_angle_alpha 90.00
_cell_angle_beta 90.00
_cell_angle_gamma 90.00
loop_
_atom_site_label
_atom_site_fract_x
_atom_site_fract_y
_atom_site_fract_z
Dy1 0.0000 0.0000 0.1670
Mg1 0.0000 0.5000 0.0000
Sn1 0.0000 0.0000 0.3643
```

Top 6 peaks for 2θ = 5–70°, sorted by position:
hkl	two_theta	I/Imax
0 0 4	22.34	40.7
1 1 0	28.69	100.0
1 1 2	30.85	38.4
1 0 5	34.78	33.4
1 1 4	36.66	79.4
2 0 0	41.02	55.9

Structure and simulated X-ray powder pattern of FeCl3 (a DFT-relaxed cell (PBE, the Materials Project); Cu Kα (weighted mean of Kα1 and Kα2)).
Peak positions follow from Bragg's law for the DFT cell and can differ from measured ones.

Cell and atoms:
```
data_FeCl3
_space_group_name_H-M_alt 'R -3'
_space_group_IT_number 148
_space_group_name_Hall '-R 3'
_cell_length_a 5.9319
_cell_length_b 5.9319
_cell_length_c 19.2331
_cell_angle_alpha 90.00
_cell_angle_beta 90.00
_cell_angle_gamma 120.00
loop_
_atom_site_label
_atom_site_fract_x
_atom_site_fract_y
_atom_site_fract_z
Fe1 0.0000 0.0000 0.1667
Cl1 0.9999 0.3735 0.5667
```

Top 6 peaks for 2θ = 5–70°, sorted by position:
hkl	two_theta	I/Imax
0 0 3	13.81	100.0
1 0 1	17.87	35.1
0 1 2	19.59	23.5
2 -1 3	33.28	65.9
2 -1 6	41.48	49.4
1 1 9	52.80	25.4

Structure and simulated X-ray powder pattern of Ce3InC (a DFT-relaxed cell (PBE, the Materials Project); Cu Kα (weighted mean of Kα1 and Kα2)).
Peak positions follow from Bragg's law for the DFT cell and can differ from measured ones.

Cell and atoms:
```
data_Ce3InC
_space_group_name_H-M_alt 'P m -3 m'
_space_group_IT_number 221
_space_group_name_Hall '-P 4 2 3'
_cell_length_a 4.9960
_cell_length_b 4.9960
_cell_length_c 4.9960
_cell_angle_alpha 90.00
_cell_angle_beta 90.00
_cell_angle_gamma 90.00
loop_
_atom_site_label
_atom_site_fract_x
_atom_site_fract_y
_atom_site_fract_z
Ce1 0.0000 0.0000 0.5000
In1 0.5000 0.5000 0.5000
C1 0.0000 0.0000 0.0000
```

Top 6 peaks for 2θ = 5–70°, sorted by position:
hkl	two_theta	I/Imax
1 0 0	17.75	1.3
1 1 1	31.00	100.0
2 0 0	35.95	54.6
2 2 0	51.75	38.0
3 1 1	61.56	42.1
2 2 2	64.62	12.8

Copy entry 4 word for word.
Structure and simulated X-ray powder pattern of Ce3InC (a DFT-relaxed cell (PBE, the Materials Project); Cu Kα (weighted mean of Kα1 and Kα2)).
Peak positions follow from Bragg's law for the DFT cell and can differ from measured ones.

Cell and atoms:
```
data_Ce3InC
_space_group_name_H-M_alt 'P m -3 m'
_space_group_IT_number 221
_space_group_name_Hall '-P 4 2 3'
_cell_length_a 4.9960
_cell_length_b 4.9960
_cell_length_c 4.9960
_cell_angle_alpha 90.00
_cell_angle_beta 90.00
_cell_angle_gamma 90.00
loop_
_atom_site_label
_atom_site_fract_x
_atom_site_fract_y
_atom_site_fract_z
Ce1 0.0000 0.0000 0.5000
In1 0.5000 0.5000 0.5000
C1 0.0000 0.0000 0.0000
```

Top 6 peaks for 2θ = 5–70°, sorted by position:
hkl	two_theta	I/Imax
1 0 0	17.75	1.3
1 1 1	31.00	100.0
2 0 0	35.95	54.6
2 2 0	51.75	38.0
3 1 1	61.56	42.1
2 2 2	64.62	12.8